Structure and computed XRD peak list of HoPt6 (a crystal structure in Alexandria, relaxed with PBE; Cu Ka).

Cell and atoms:
```
28
Lattice="9.517 0.000 0.000 0.000 5.356 0.000 0.000 0.000 9.682" Properties=species:S:1:pos:R:3 pbc="T T T"
Ho 2.063 1.339 0.481
Ho 2.696 4.017 5.322
Ho 6.821 1.339 4.360
Ho 7.455 4.017 9.200
Pt 0.029 1.339 5.012
Pt 0.386 2.697 7.338
Pt 0.386 5.337 7.338
Pt 0.716 4.017 0.131
Pt 1.989 4.017 2.591
Pt 2.003 1.339 3.244
Pt 2.756 4.017 8.085
Pt 2.769 1.339 7.432
Pt 4.043 1.339 4.972
Pt 4.372 0.019 2.497
Pt 4.372 2.659 2.497
Pt 4.729 4.017 0.172
Pt 4.788 1.339 9.510
Pt 5.145 2.697 7.184
Pt 5.145 5.337 7.184
Pt 5.475 4.017 4.710
Pt 6.748 4.017 2.250
Pt 6.761 1.339 1.597
Pt 7.515 4.017 6.438
Pt 7.528 1.339 7.091
Pt 8.801 1.339 9.550
Pt 9.131 0.019 2.344
Pt 9.131 2.659 2.344
Pt 9.488 4.017 4.669
```

Top 8 peaks for 5 to 70 degrees two-theta, low angle first:
2theta	I (rel.)
33.5	323
37.1	478
37.6	371
38.4	679
38.6	315
39.0	491
39.7	338
43.0	1000

=====

Structure and computed XRD peak list of HoPt2 (a crystal structure in Alexandria, relaxed with PBE; Cu Ka).

Cell and atoms:
```
6
Lattice="4.675 -2.152 0.000 4.675 2.152 0.000 -1.569 0.000 5.561" Properties=species:S:1:pos:R:3 pbc="T T T"
Ho 0.869 0.000 1.670
Ho 6.910 0.000 3.890
Pt 0.375 0.000 4.554
Pt 4.675 0.000 0.000
Pt 3.890 0.000 2.780
Pt 7.404 0.000 1.007
```

Top 8 peaks for 5 to 70 degrees two-theta, low angle first:
2theta	I (rel.)
36.5	1000
37.5	941
42.0	360
42.6	298
44.4	284
61.4	205
61.9	87
62.7	205